Diffraction record for Cu3TcNi12. The PXRD pattern is calculated, not measured: it uses a crystal structure in Alexandria, relaxed with PBE and Cu Kα (λ = 1.5418 Å).
Kinematic intensities with the Lorentz-polarization factor, no thermal factor.

Principal peaks in the range 5 to 70 degrees two-theta, sorted by position:
Position (°2θ), d_spacing, I/Imax, index
6.2, 14.209, 15, 0 0 1
12.5, 7.104, 5, 0 0 2
25.0, 3.557, 6, 1 0 0
35.7, 2.515, 5, 1 1 0
44.1, 2.054, 1000, 1 1 4
51.3, 1.780, 312, 2 0 0
51.5, 1.776, 154, 0 0 8

Cell: 3.5596 3.5596 14.2086 Å, 90.00 90.00 90.00°
Space group P4/mmm (No. 123)
Asymmetric unit:
Cu 0.0000 0.0000 0.0000 [1 per cell]
Cu 0.0000 0.0000 0.2472 [2 per cell]
Tc 0.0000 0.0000 0.5000 [1 per cell]
Ni 0.0000 0.5000 0.1240 [4 per cell]
Ni 0.0000 0.5000 0.3738 [4 per cell]
Ni 0.5000 0.5000 0.0000 [1 per cell]
Ni 0.5000 0.5000 0.2476 [2 per cell]
Ni 0.5000 0.5000 0.5000 [1 per cell]

Diffraction record for CuTc2Ni. The PXRD pattern is calculated, not measured: it uses a crystal structure in Alexandria, relaxed with PBE and Cu Kα (λ = 1.5418 Å).
Kinematic intensities with the Lorentz-polarization factor, no thermal factor.

Principal peaks in the range 5 to 70 degrees two-theta, sorted by position:
Position (°2θ), d_spacing, I/Imax, index
19.2, 4.614, 68, 0 0 1
25.9, 3.440, 25, 2 0 -1
30.0, 2.979, 51, 2 0 1
36.6, 2.455, 40, 1 1 0
41.0, 2.201, 546, 4 0 0
41.5, 2.175, 523, 2 0 -2
42.4, 2.132, 1000, 1 1 1
42.9, 2.107, 21, 4 0 -1
47.0, 1.933, 362, 2 0 2
49.5, 1.841, 618, 3 1 -1

Cell: 8.8942 2.5560 4.6619 Å, 90.00 98.24 90.00°
Space group Cm (No. 8)
Asymmetric unit:
Cu 0.0000 0.0000 0.0000 [2 per cell]
Tc 0.2497 0.0000 0.7314 [2 per cell]
Tc 0.4862 0.0000 0.4890 [2 per cell]
Ni 0.2480 0.5000 0.2240 [2 per cell]

Diffraction record for CuTcNi14. The PXRD pattern is calculated, not measured: it uses a crystal structure in Alexandria, relaxed with PBE and Cu Kα (λ = 1.5418 Å).
Kinematic intensities with the Lorentz-polarization factor, no thermal factor.

Principal peaks in the range 5 to 70 degrees two-theta, sorted by position:
Position (°2θ), d_spacing, I/Imax, index
41.5, 2.177, 64, 0 2 2
41.7, 2.166, 37, 0 0 4
43.0, 2.104, 479, 1 2 2
43.2, 2.094, 245, 1 0 4
44.2, 2.051, 552, 4 0 0
47.3, 1.923, 1000, 2 2 2
47.5, 1.915, 472, 2 0 4
53.8, 1.703, 237, 3 2 2
54.0, 1.698, 122, 3 0 4
62.2, 1.493, 35, 4 2 2

Cell: 8.2031 5.0366 8.6637 Å, 90.00 90.00 90.00°
Space group Amm2 (No. 38)
Asymmetric unit:
Cu 0.0000 0.0000 0.0000 [2 per cell]
Tc 0.0000 0.0000 0.4999 [2 per cell]
Ni 0.0000 0.2480 0.2491 [4 per cell]
Ni 0.2508 0.0000 0.3319 [4 per cell]
Ni 0.2519 0.2502 0.0819 [8 per cell]
Ni 0.2531 0.0000 0.8309 [4 per cell]
Ni 0.5000 0.0000 0.1645 [2 per cell]
Ni 0.5000 0.0000 0.6645 [2 per cell]
Ni 0.5000 0.2496 0.4142 [4 per cell]